Simulated powder diffractogram
Compound: K2NdCrSe4
Radiation: Cu Ka
Structure: the GGA-PBE geometry in Alexandria
Peak positions follow from Bragg's law for the DFT cell and can differ from measured ones.

Main lines, by angle (2θ = 10–90°):
11.55°, I 47
29.53°, I 100
37.27°, I 19
40.24°, I 20
40.58°, I 9
43.88°, I 13
44.20°, I 21
50.55°, I 8
53.78°, I 12
61.30°, I 7

abc: 7.082 4.126 8.034
angles: 90.00 107.51 90.00
Positions (direct):
K 0.000 0.000 0.000
K 0.500 0.500 0.000
Nd 0.000 0.500 0.500
Cr 0.500 0.000 0.500
Se 0.265 0.000 0.704
Se 0.301 0.500 0.313
Se 0.699 0.500 0.687
Se 0.735 0.000 0.296

***

Simulated powder diffractogram
Compound: KCr2Ni
Radiation: Cu Ka
Structure: the GGA-PBE geometry in Alexandria
Peak positions follow from Bragg's law for the DFT cell and can differ from measured ones.

Main lines, by angle (2θ = 10–90°):
10.96°, I 100
31.53°, I 13
33.30°, I 12
37.09°, I 70
42.17°, I 51
43.70°, I 13
45.05°, I 35
54.64°, I 26
61.16°, I 15
73.74°, I 15

abc: 3.031 3.031 8.073
angles: 90.00 90.00 90.00
Positions (direct):
K 0.000 0.000 0.000
Cr 0.000 0.000 0.474
Cr 0.500 0.500 0.637
Ni 0.500 0.500 0.316